For Ti4Mn5Mo, a PBE-relaxed structure gives the simulated PXRD pattern in this record (CuKα).

Structure:
```
data_Ti4Mn5Mo
_cell_length_a 2.9837
_cell_length_b 2.9837
_cell_length_c 14.9372
_cell_angle_alpha 90.00
_cell_angle_beta 90.00
_cell_angle_gamma 90.00
_space_group_name_H-M_alt 'P 4/m m m'
_space_group_IT_number 123
_space_group_name_Hall '-P 4 2'
loop_
_atom_site_label
_atom_site_type_symbol
_atom_site_fract_x
_atom_site_fract_y
_atom_site_fract_z
_atom_site_occupancy
Ti1 Ti 0.0000 0.0000 0.1006 1
Ti2 Ti 0.0000 0.0000 0.2989 1
Mn1 Mn 0.5000 0.5000 0.0000 1
Mn2 Mn 0.5000 0.5000 0.2006 1
Mn3 Mn 0.5000 0.5000 0.4023 1
Mo1 Mo 0.0000 0.0000 0.5000 1
```

Most intense lines, 2θ = 10–90°, low angle first:
index, two_theta, I/Imax
0 0 2, 11.85, 3
0 0 3, 17.81, 2
0 0 4, 23.83, 1
1 0 1, 30.55, 1
1 0 2, 32.31, 1
1 0 3, 35.06, 1
1 0 4, 38.63, 1
1 1 0, 42.85, 100
1 1 1, 43.31, 1
1 1 3, 46.76, 1
2 0 0, 62.20, 15
2 1 5, 78.49, 29